# 1
Starting from a structure optimized by DFT (PBE), the PXRD pattern of Ir2OsSe was computed for copper Kα.
Intensities are scaled so that the largest is 100.

Cell and atoms:
```
data_Ir2OsSe
_cell_length_a 2.8342
_cell_length_b 2.8342
_cell_length_c 7.5692
_cell_angle_alpha 90.00
_cell_angle_beta 90.00
_cell_angle_gamma 90.00
_symmetry_space_group_name_H-M 'P 4 m m'
_symmetry_Int_Tables_number 99
loop_
_symmetry_equiv_pos_as_xyz
'x,y,z'
'-y,x,z'
'-x,-y,z'
'y,-x,z'
'-x,y,z'
'y,x,z'
'x,-y,z'
'-y,-x,z'
loop_
_atom_site_label
_atom_site_type_symbol
_atom_site_fract_x
_atom_site_fract_y
_atom_site_fract_z
_atom_site_occupancy
Ir1 Ir 0.0000 0.0000 0.0000 1
Ir2 Ir 0.5000 0.5000 0.2494 1
Os1 Os 0.0000 0.0000 0.4899 1
Se1 Se 0.5000 0.5000 0.7305 1
```

Most intense lines, 5° ≤ 2θ ≤ 70°, in order of rising 2θ:
hkl, Position (°2θ), d/Å, I/Imax
0 0 1, 11.69, 7.569, 16
0 0 2, 23.51, 3.785, 3
1 0 0, 31.57, 2.834, 3
1 0 1, 33.77, 2.654, 4
1 0 2, 39.73, 2.269, 100
1 1 0, 45.25, 2.004, 35
1 1 1, 46.90, 1.937, 2
0 0 4, 48.08, 1.892, 14
1 0 3, 48.29, 1.885, 3
1 1 2, 51.61, 1.771, 1
2 0 0, 65.91, 1.417, 11
1 1 4, 68.15, 1.376, 20

=====

# 2
Starting from a structure optimized by DFT (PBE), the PXRD pattern of U2Si4IrOs3 was computed for copper Kα.
Intensities are scaled so that the largest is 100.

Cell and atoms:
```
data_U2Si4IrOs3
_cell_length_a 4.0985
_cell_length_b 4.0985
_cell_length_c 9.8534
_cell_angle_alpha 90.00
_cell_angle_beta 90.00
_cell_angle_gamma 90.00
_symmetry_space_group_name_H-M 'P -4 m 2'
_symmetry_Int_Tables_number 115
loop_
_symmetry_equiv_pos_as_xyz
'x,y,z'
'y,-x,-z'
'-x,-y,z'
'-y,x,-z'
'-x,y,z'
'-y,-x,-z'
'x,-y,z'
'y,x,-z'
loop_
_atom_site_label
_atom_site_type_symbol
_atom_site_fract_x
_atom_site_fract_y
_atom_site_fract_z
_atom_site_occupancy
U1 U 0.0000 0.5000 0.2481 1
Si1 Si 0.0000 0.0000 0.0000 1
Si2 Si 0.0000 0.5000 0.6285 1
Si3 Si 0.5000 0.5000 0.0000 1
Ir1 Ir 0.0000 0.0000 0.5000 1
Os1 Os 0.0000 0.5000 0.8674 1
Os2 Os 0.5000 0.5000 0.5000 1
```

Most intense lines, 5° ≤ 2θ ≤ 70°, in order of rising 2θ:
hkl, Position (°2θ), d/Å, I/Imax
0 0 3, 27.15, 3.284, 21
1 0 2, 28.33, 3.151, 20
1 1 0, 30.85, 2.898, 18
1 1 1, 32.20, 2.780, 44
1 0 3, 35.01, 2.563, 64
1 1 2, 35.95, 2.498, 100
2 0 0, 44.20, 2.049, 57
1 0 5, 51.45, 1.776, 29
2 0 3, 52.64, 1.739, 14
2 1 3, 57.59, 1.601, 32
2 2 0, 64.28, 1.449, 19
1 1 6, 65.31, 1.429, 13

=====

Repeat the second record exactly.
Starting from a structure optimized by DFT (PBE), the PXRD pattern of U2Si4IrOs3 was computed for copper Kα.
Intensities are scaled so that the largest is 100.

Cell and atoms:
```
data_U2Si4IrOs3
_cell_length_a 4.0985
_cell_length_b 4.0985
_cell_length_c 9.8534
_cell_angle_alpha 90.00
_cell_angle_beta 90.00
_cell_angle_gamma 90.00
_symmetry_space_group_name_H-M 'P -4 m 2'
_symmetry_Int_Tables_number 115
loop_
_symmetry_equiv_pos_as_xyz
'x,y,z'
'y,-x,-z'
'-x,-y,z'
'-y,x,-z'
'-x,y,z'
'-y,-x,-z'
'x,-y,z'
'y,x,-z'
loop_
_atom_site_label
_atom_site_type_symbol
_atom_site_fract_x
_atom_site_fract_y
_atom_site_fract_z
_atom_site_occupancy
U1 U 0.0000 0.5000 0.2481 1
Si1 Si 0.0000 0.0000 0.0000 1
Si2 Si 0.0000 0.5000 0.6285 1
Si3 Si 0.5000 0.5000 0.0000 1
Ir1 Ir 0.0000 0.0000 0.5000 1
Os1 Os 0.0000 0.5000 0.8674 1
Os2 Os 0.5000 0.5000 0.5000 1
```

Most intense lines, 5° ≤ 2θ ≤ 70°, in order of rising 2θ:
hkl, Position (°2θ), d/Å, I/Imax
0 0 3, 27.15, 3.284, 21
1 0 2, 28.33, 3.151, 20
1 1 0, 30.85, 2.898, 18
1 1 1, 32.20, 2.780, 44
1 0 3, 35.01, 2.563, 64
1 1 2, 35.95, 2.498, 100
2 0 0, 44.20, 2.049, 57
1 0 5, 51.45, 1.776, 29
2 0 3, 52.64, 1.739, 14
2 1 3, 57.59, 1.601, 32
2 2 0, 64.28, 1.449, 19
1 1 6, 65.31, 1.429, 13

=====

Copy entry 1 word for word.
Starting from a structure optimized by DFT (PBE), the PXRD pattern of Ir2OsSe was computed for copper Kα.
Intensities are scaled so that the largest is 100.

Cell and atoms:
```
data_Ir2OsSe
_cell_length_a 2.8342
_cell_length_b 2.8342
_cell_length_c 7.5692
_cell_angle_alpha 90.00
_cell_angle_beta 90.00
_cell_angle_gamma 90.00
_symmetry_space_group_name_H-M 'P 4 m m'
_symmetry_Int_Tables_number 99
loop_
_symmetry_equiv_pos_as_xyz
'x,y,z'
'-y,x,z'
'-x,-y,z'
'y,-x,z'
'-x,y,z'
'y,x,z'
'x,-y,z'
'-y,-x,z'
loop_
_atom_site_label
_atom_site_type_symbol
_atom_site_fract_x
_atom_site_fract_y
_atom_site_fract_z
_atom_site_occupancy
Ir1 Ir 0.0000 0.0000 0.0000 1
Ir2 Ir 0.5000 0.5000 0.2494 1
Os1 Os 0.0000 0.0000 0.4899 1
Se1 Se 0.5000 0.5000 0.7305 1
```

Most intense lines, 5° ≤ 2θ ≤ 70°, in order of rising 2θ:
hkl, Position (°2θ), d/Å, I/Imax
0 0 1, 11.69, 7.569, 16
0 0 2, 23.51, 3.785, 3
1 0 0, 31.57, 2.834, 3
1 0 1, 33.77, 2.654, 4
1 0 2, 39.73, 2.269, 100
1 1 0, 45.25, 2.004, 35
1 1 1, 46.90, 1.937, 2
0 0 4, 48.08, 1.892, 14
1 0 3, 48.29, 1.885, 3
1 1 2, 51.61, 1.771, 1
2 0 0, 65.91, 1.417, 11
1 1 4, 68.15, 1.376, 20

=====

- What is the formula in the second record?
  U2Si4IrOs3